No. 1
Diffraction record for TlIn2Ga. The XRD peak list is theoretical, not measured: it uses a cell relaxed with GGA-PBE and Cu Kα.

Main lines, by angle (10° ≤ 2θ ≤ 90°):
2θ 31.11, d = 2.875 Å, I = 45, (0 0 4); 2θ 31.71, d = 2.822 Å, I = 30, (1 0 0); 2θ 32.68, d = 2.740 Å, I = 100, (1 0 1); 2θ 35.44, d = 2.533 Å, I = 38, (1 0 2); 2θ 39.66, d = 2.272 Å, I = 80, (0 1 3); 2θ 65.90, d = 1.417 Å, I = 31, (1 1 4)

Structure:
```
data_TlIn2Ga
_chemical_formula_sum 'Tl1 In2 Ga1'
_cell_length_a 3.2582
_cell_length_b 3.2582
_cell_length_c 11.5003
_cell_angle_alpha 90.00
_cell_angle_beta 90.00
_cell_angle_gamma 120.00
_space_group_name_H-M_alt 'P 3 m 1'
_space_group_IT_number 156
loop_
_space_group_symop_operation_xyz
'x,y,z'
'-y,x-y,z'
'-x+y,-x,z'
'-y,-x,z'
'-x+y,y,z'
'x,x-y,z'
loop_
_atom_site_label
_atom_site_type_symbol
_atom_site_fract_x
_atom_site_fract_y
_atom_site_fract_z
_atom_site_occupancy
Tl1 Tl 0.0000 0.0000 0.0000 1
In1 In 0.0000 0.0000 0.7174 1
In2 In 0.6667 0.3333 0.2651 1
Ga1 Ga 0.3333 0.6667 0.4919 1
```

***

No. 2
Diffraction record for Tl17In11Ga. The XRD peak list is theoretical, not measured: it uses a cell relaxed with GGA-PBE and Cu Kα.

Main lines, by angle (10° ≤ 2θ ≤ 90°):
2θ 31.70, d = 2.823 Å, I = 100, (3 3 0); 2θ 31.81, d = 2.814 Å, I = 55, (0 0 3); 2θ 35.14, d = 2.554 Å, I = 17, (3 5 -2); 2θ 36.77, d = 2.445 Å, I = 11, (4 4 -2); 2θ 56.43, d = 1.631 Å, I = 18, (7 1 -2); 2θ 56.55, d = 1.628 Å, I = 20, (1 5 4)

Structure:
```
data_Tl17In11Ga
_chemical_formula_sum 'Tl34 In22 Ga2'
_cell_length_a 11.9730
_cell_length_b 16.9458
_cell_length_c 10.3160
_cell_angle_alpha 90.00
_cell_angle_beta 125.14
_cell_angle_gamma 90.00
_space_group_name_H-M_alt 'C 1 m 1'
_space_group_IT_number 8
loop_
_space_group_symop_operation_xyz
'x,y,z'
'x,-y,z'
'x+1/2,y+1/2,z'
'x+1/2,-y+1/2,z'
loop_
_atom_site_label
_atom_site_type_symbol
_atom_site_fract_x
_atom_site_fract_y
_atom_site_fract_z
_atom_site_occupancy
Tl1 Tl 0.0000 0.0000 0.0000 1
Tl2 Tl 0.0001 0.0000 0.3614 1
Tl3 Tl 0.0205 0.3025 0.6809 1
Tl4 Tl 0.0375 0.3578 0.3585 1
Tl5 Tl 0.1107 0.5000 0.6406 1
Tl6 Tl 0.1963 0.1978 0.0398 1
Tl7 Tl 0.3196 0.0000 0.0704 1
Tl8 Tl 0.3211 0.3203 0.3628 1
Tl9 Tl 0.3394 0.3421 0.7518 1
Tl10 Tl 0.3642 0.0000 0.7204 1
Tl11 Tl 0.4420 0.1602 0.9624 1
In1 In 0.0877 0.0927 0.7217 1
In2 In 0.1438 0.5000 0.2057 1
In3 In 0.1859 0.1836 0.5485 1
In4 In 0.2229 0.4079 0.9948 1
In5 In 0.2766 0.0898 0.3585 1
In6 In 0.4934 0.3172 0.1722 1
Ga1 Ga 0.3227 0.5000 0.5512 1
```

***

No. 3
Diffraction record for Tl3In6Ga5. The XRD peak list is theoretical, not measured: it uses a cell relaxed with GGA-PBE and Cu Kα.

Main lines, by angle (10° ≤ 2θ ≤ 90°):
2θ 30.80, d = 2.903 Å, I = 45, (0 4 2); 2θ 31.44, d = 2.846 Å, I = 100, (1 3 2); 2θ 31.59, d = 2.832 Å, I = 57, (1 0 3); 2θ 32.40, d = 2.764 Å, I = 88, (1 4 1); 2θ 34.14, d = 2.627 Å, I = 51, (1 2 3); 2θ 36.09, d = 2.489 Å, I = 70, (2 0 0)

Structure:
```
data_Tl3In6Ga5
_chemical_formula_sum 'Tl6 In12 Ga10'
_cell_length_a 4.9780
_cell_length_b 14.0362
_cell_length_c 10.3330
_cell_angle_alpha 90.00
_cell_angle_beta 90.00
_cell_angle_gamma 90.00
_space_group_name_H-M_alt 'P m m n'
_space_group_IT_number 59
loop_
_space_group_symop_operation_xyz
'x,y,z'
'-x,-y,-z'
'-x+1/2,-y+1/2,z'
'x+1/2,y+1/2,-z'
'x+1/2,-y,-z'
'-x+1/2,y,z'
'-x,y+1/2,-z'
'x,-y+1/2,z'
loop_
_atom_site_label
_atom_site_type_symbol
_atom_site_fract_x
_atom_site_fract_y
_atom_site_fract_z
_atom_site_occupancy
Tl1 Tl 0.2500 0.0302 0.2473 1
Tl2 Tl 0.2500 0.7500 0.2466 1
In1 In 0.2500 0.0902 0.8936 1
In2 In 0.2500 0.2500 0.0942 1
In3 In 0.2500 0.2500 0.4166 1
In4 In 0.2500 0.5948 0.5379 1
Ga1 Ga 0.2500 0.1077 0.6203 1
Ga2 Ga 0.2500 0.6148 0.9498 1
Ga3 Ga 0.2500 0.7500 0.7462 1
```